(1)
This entry pairs a crystal structure of Tb14CeTh with its computed XRD peak list. Radiation: a wavelength of 1.5418 Å. Structure: the GGA-PBE geometry in Alexandria.
Kinematic intensities with the Lorentz-polarization factor, no thermal factor.

Crystal structure
Lattice parameters (Å, degrees): 10.0646 10.0717 10.0792 90.00 90.00 90.00
Space group Cmmm (No. 65)
One atom of each set of equivalent atoms:
Tb  0.0000  0.0000  0.0000 (multiplicity 2)
Tb  0.0000  0.2490  0.2513 (multiplicity 8)
Tb  0.0000  0.5000  0.0000 (multiplicity 2)
Tb  0.2490  0.0000  0.2514 (multiplicity 8)
Tb  0.2500  0.2500  0.0000 (multiplicity 4)
Tb  0.2500  0.2500  0.5000 (multiplicity 4)
Ce  0.0000  0.5000  0.5000 (multiplicity 2)
Th  0.0000  0.0000  0.5000 (multiplicity 2)

The 8 most intense peaks (2θ = 10–80°), by angle:
2θ = 15.24°, d = 5.815 Å, intensity 1, hkl 1 1 1
2θ = 30.75°, d = 2.907 Å, intensity 100, hkl 2 2 2
2θ = 35.66°, d = 2.518 Å, intensity 51, hkl 4 0 0
2θ = 51.31°, d = 1.780 Å, intensity 36, hkl 4 4 0
2θ = 61.02°, d = 1.518 Å, intensity 43, hkl 6 2 2
2θ = 64.05°, d = 1.454 Å, intensity 12, hkl 4 4 4
2θ = 75.49°, d = 1.259 Å, intensity 4, hkl 0 8 0
2θ = 75.58°, d = 1.258 Å, intensity 2, hkl 8 0 0

---

(2)
This entry pairs a crystal structure of TbCe2Th6 with its computed XRD peak list. Radiation: a wavelength of 1.5418 Å. Structure: the GGA-PBE geometry in Alexandria.
Kinematic intensities with the Lorentz-polarization factor, no thermal factor.

Crystal structure
Lattice parameters (Å, degrees): 3.5056 3.5056 26.8400 90.00 90.00 120.00
Space group P-6m2 (No. 187)
One atom of each set of equivalent atoms:
Tb  0.0000  0.0000  0.0000 (multiplicity 1)
Ce  0.3333  0.6667  0.3293 (multiplicity 2)
Th  0.0000  0.0000  0.2208 (multiplicity 2)
Th  0.0000  0.0000  0.4379 (multiplicity 2)
Th  0.3333  0.6667  0.1104 (multiplicity 2)

The 8 most intense peaks (2θ = 10–80°), by angle:
2θ = 29.42°, d = 3.036 Å, intensity 52, hkl 1 0 0
2θ = 29.96°, d = 2.982 Å, intensity 57, hkl 0 0 9
2θ = 32.37°, d = 2.766 Å, intensity 74, hkl 1 0 4
2θ = 33.92°, d = 2.643 Å, intensity 100, hkl 1 0 5
2θ = 42.49°, d = 2.127 Å, intensity 37, hkl 1 0 9
2θ = 52.18°, d = 1.753 Å, intensity 39, hkl 1 1 0
2θ = 56.79°, d = 1.621 Å, intensity 32, hkl 1 0 14
2θ = 61.35°, d = 1.511 Å, intensity 47, hkl 1 1 9

---

(3)
This entry pairs a crystal structure of TbCe6Th2 with its computed XRD peak list. Radiation: a wavelength of 1.5418 Å. Structure: the GGA-PBE geometry in Alexandria.
Kinematic intensities with the Lorentz-polarization factor, no thermal factor.

Crystal structure
Lattice parameters (Å, degrees): 9.5491 9.5491 3.4005 90.00 90.00 120.00
Space group P-3 (No. 147)
One atom of each set of equivalent atoms:
Tb  0.0000  0.0000  0.0000 (multiplicity 1)
Ce  0.0205  0.3479  0.7225 (multiplicity 6)
Th  0.3333  0.6667  0.2288 (multiplicity 2)

The 8 most intense peaks (2θ = 10–80°), by angle:
2θ = 28.38°, d = 3.145 Å, intensity 18, hkl 0 1 1
2θ = 32.32°, d = 2.770 Å, intensity 59, hkl 1 1 1
2θ = 32.48°, d = 2.757 Å, intensity 100, hkl 3 0 0
2θ = 34.14°, d = 2.626 Å, intensity 22, hkl 2 0 1
2θ = 39.15°, d = 2.301 Å, intensity 23, hkl 3 -2 1
2θ = 46.48°, d = 1.954 Å, intensity 20, hkl 4 -2 1
2θ = 57.84°, d = 1.594 Å, intensity 20, hkl 4 1 1
2θ = 57.95°, d = 1.592 Å, intensity 18, hkl 3 3 0

---

What is the formula in the third record? TbCe6Th2